Computed powder XRD pattern of TbHoO3 for Cu Kα, from DFT lattice parameters and positions (PBE).
Kinematic intensities with the Lorentz-polarization factor, no thermal factor.

Largest 10 diffraction maxima, sorted by position, 2θ = 5–70°:
2theta  d_spacing  I/Imax
30.07  2.971  21
30.30  2.950  100
31.48  2.842  21
42.66  2.119  11
44.10  2.054  18
53.07  1.726  11
53.55  1.711  15
53.97  1.699  11
55.32  1.661  22
63.03  1.475  11

Cell and atoms:
```
20
Lattice="5.943 0.000 0.000 0.000 8.478 0.000 0.000 0.000 5.683" Properties=species:S:1:pos:R:3 pbc="T T T"
Tb 0.310 2.119 0.121
Tb 2.661 6.358 2.962
Tb 3.282 2.119 2.721
Tb 5.633 6.358 5.563
Ho 0.000 0.000 2.842
Ho 0.000 4.239 2.842
Ho 2.971 0.000 0.000
Ho 2.971 4.239 0.000
O 0.475 6.358 1.986
O 1.128 4.925 4.622
O 1.128 7.792 4.622
O 1.843 0.686 1.780
O 1.843 3.553 1.780
O 2.497 2.119 4.827
O 3.446 6.358 0.856
O 4.100 4.925 3.903
O 4.100 7.792 3.903
O 4.815 0.686 1.061
O 4.815 3.553 1.061
O 5.468 2.119 3.698
```